For Cd2Ge2Au5, a cell relaxed with PBE gives the simulated powder diffractogram in this record (Cu Kα).
Intensities are scaled so that the largest is 100.

Peak list (10 most intense, 5 to 70 degrees two-theta, in order of rising 2θ)
| Position (°2θ) | d_spacing | Rel. int. |
| --- | --- | --- |
| 15.90 | 5.572 | 36 |
| 24.08 | 3.696 | 35 |
| 28.68 | 3.112 | 36 |
| 31.82 | 2.813 | 25 |
| 32.45 | 2.759 | 18 |
| 39.03 | 2.308 | 99 |
| 39.79 | 2.265 | 59 |
| 40.09 | 2.249 | 100 |
| 43.95 | 2.060 | 43 |
| 60.77 | 1.524 | 32 |

Crystal structure
a = 13.603 Å, b = 4.121 Å, c = 8.368 Å
α = 90.00°, β = 124.98°, γ = 90.00°
Space group C2/m (No. 12)
Inequivalent atoms, fractional coordinates:
Cd  0.168  0.000  0.021 (multiplicity 4)
Ge  0.168  0.500  0.529 (multiplicity 4)
Au  0.000  0.500  0.000 (multiplicity 2)
Au  0.078  0.500  0.727 (multiplicity 4)
Au  0.097  0.000  0.295 (multiplicity 4)